(1)
Theoretical powder diffraction line list of Ce3Pr2Hg6 for Cu Kα (weighted mean of Kα1 and Kα2), from a cell relaxed with GGA-PBE.
Intensities are scaled so that the largest is 100.

Principal peaks in the range 10° ≤ 2θ ≤ 90°, low angle first:
2theta  d/Å  I (rel.)
18.9  4.693  17
25.3  3.519  55
31.1  2.873  15
34.9  2.570  57
35.5  2.528  100
47.9  1.898  13
50.2  1.817  21
57.0  1.614  12
63.0  1.475  38
64.1  1.452  14

Structural model:
Unit cell a=5.139 b=5.139 c=28.157 alpha=90.00 beta=90.00 gamma=90.00
Space group I4/mmm (No. 139)
Unique sites:
Ce: 0.000 0.000 0.000 [2 per cell]
Ce: 0.000 0.000 0.137 [4 per cell]
Pr: 0.000 0.000 0.366 [4 per cell]
Hg: 0.000 0.000 0.252 [4 per cell]
Hg: 0.000 0.500 0.067 [8 per cell]

(2)
Theoretical powder diffraction line list of CePrHg4 for Cu Kα (weighted mean of Kα1 and Kα2), from a cell relaxed with GGA-PBE.
Intensities are scaled so that the largest is 100.

Principal peaks in the range 10° ≤ 2θ ≤ 90°, low angle first:
2theta  d/Å  I (rel.)
25.7  3.467  18
32.8  2.727  100
35.1  2.558  35
35.3  2.546  70
44.1  2.052  18
48.8  1.864  22
63.1  1.474  13
65.0  1.435  12
65.1  1.433  24
86.7  1.123  11

Structural model:
Unit cell a=3.467 b=5.115 c=8.804 alpha=90.00 beta=90.00 gamma=90.00
Space group Pmmm (No. 47)
Unique sites:
Ce: 0.000 0.000 0.000 [1 per cell]
Pr: 0.000 0.500 0.500 [1 per cell]
Hg: 0.500 0.000 0.332 [2 per cell]
Hg: 0.500 0.500 0.166 [2 per cell]

(3)
Theoretical powder diffraction line list of CePrHgTe2 for Cu Kα (weighted mean of Kα1 and Kα2), from a cell relaxed with GGA-PBE.
Intensities are scaled so that the largest is 100.

Principal peaks in the range 10° ≤ 2θ ≤ 90°, low angle first:
2theta  d/Å  I (rel.)
28.1  3.173  52
28.7  3.107  83
29.1  3.072  100
30.5  2.932  75
33.2  2.697  75
36.7  2.446  88
40.2  2.243  97
50.4  1.812  87
58.2  1.586  33
66.3  1.410  38

Structural model:
Unit cell a=4.487 b=4.487 c=15.362 alpha=90.00 beta=90.00 gamma=90.00
Space group P4/nmm (No. 129, origin choice 2)
Unique sites:
Ce: 0.250 0.250 0.095 [2 per cell]
Pr: 0.250 0.250 0.675 [2 per cell]
Hg: 0.250 0.750 0.500 [2 per cell]
Te: 0.250 0.250 0.302 [2 per cell]
Te: 0.250 0.250 0.888 [2 per cell]